Diffraction record for Er6Ge2C. The X-ray powder pattern is computed, not measured: it uses a crystal structure in Alexandria, relaxed with PBE and Cu Ka.
No peak broadening, texture or thermal motion is included.

Top 12 peaks for 2θ from 10° to 90°, sorted by position:
2theta, I (rel.), h k l
19.7, 136, 1 1 0
28.1, 332, 2 0 0
29.7, 1000, 1 1 3
31.5, 352, 2 1 0
38.7, 199, 2 1 3
40.1, 210, 2 2 0
42.2, 118, 1 1 5
48.5, 278, 3 0 3
50.7, 178, 3 1 3
60.0, 138, 4 1 0
70.2, 95, 4 2 3
85.7, 100, 5 2 3

```
data_Er6Ge2C
_cell_length_a 6.3574
_cell_length_b 6.3574
_cell_length_c 12.1616
_cell_angle_alpha 90.00
_cell_angle_beta 90.00
_cell_angle_gamma 90.00
_symmetry_space_group_name_H-M 'P 42/m n m'
_symmetry_Int_Tables_number 136
_symmetry_space_group_name_Hall '-P 4n 2n'
loop_
_atom_site_label
_atom_site_fract_x
_atom_site_fract_y
_atom_site_fract_z
_atom_site_occupancy
Er1 0.1910 0.1910 0.1421 1
Er2 0.2207 0.2207 0.5000 1
Ge1 0.0000 0.0000 0.3275 1
C1 0.0000 0.0000 0.0000 1
```